Structure and simulated powder diffraction line list of Hf3C (a cell relaxed with GGA-PBE; Cu Kα (weighted mean of Kα1 and Kα2)).
Kinematic intensities with the Lorentz-polarization factor, no thermal factor.

Crystal structure
```
data_Hf3C
_cell_length_a 3.3051
_cell_length_b 4.5170
_cell_length_c 9.8313
_cell_angle_alpha 90.00
_cell_angle_beta 90.00
_cell_angle_gamma 90.00
_space_group_name_H-M_alt 'I m m m'
_space_group_IT_number 71
_space_group_name_Hall '-I 2 2'
loop_
_atom_site_label
_atom_site_type_symbol
_atom_site_fract_x
_atom_site_fract_y
_atom_site_fract_z
Hf1 Hf 0.0000 0.0000 0.0000
Hf2 Hf 0.0000 0.0000 0.3429
C1 C 0.0000 0.5000 0.0000
```

The 10 most intense peaks (2θ = 10–90°), by intensity:
hkl 1 1 0, 33.60 deg, rel. 100
hkl 0 1 3, 33.79 deg, rel. 96
hkl 1 0 3, 38.69 deg, rel. 72
hkl 1 2 3, 56.81 deg, rel. 48
hkl 0 2 0, 39.92 deg, rel. 34
hkl 2 1 3, 66.68 deg, rel. 28
hkl 1 1 6, 67.03 deg, rel. 26
hkl 1 3 0, 68.48 deg, rel. 13
hkl 2 0 0, 55.61 deg, rel. 13
hkl 0 3 3, 68.59 deg, rel. 13